Diffraction record for SiSn. The powder XRD pattern is simulated, not measured: it uses DFT lattice parameters and positions (GGA-PBE) and CuKα.
No peak broadening, texture or thermal motion is included.

Main lines, in order of falling intensity (2θ = 10–90°):
| h k l | d (Å) | intensity |
| --- | --- | --- |
| 1 1 0 | 8.507 | 100 |
| 2 1 1 | 3.411 | 66 |
| 2 3 0 | 3.337 | 32 |
| 4 4 1 | 1.916 | 30 |
| 1 3 0 | 3.804 | 30 |
| 1 5 1 | 2.081 | 23 |
| 1 2 0 | 5.380 | 22 |
| 2 0 1 | 3.557 | 22 |
| 1 1 1 | 3.916 | 19 |
| 4 2 1 | 2.297 | 19 |
| 4 0 1 | 2.485 | 17 |
| 4 0 0 | 3.008 | 17 |

Crystal structure
```
data_SiSn
_chemical_formula_sum 'Si8 Sn8'
_cell_length_a 12.0308
_cell_length_b 12.0308
_cell_length_c 4.4115
_cell_angle_alpha 90.00
_cell_angle_beta 90.00
_cell_angle_gamma 90.00
_space_group_name_H-M_alt 'P 4/m'
_space_group_IT_number 83
loop_
_space_group_symop_operation_xyz
'x,y,z'
'-x,-y,-z'
'-y,x,z'
'y,-x,-z'
'-x,-y,z'
'x,y,-z'
'y,-x,z'
'-y,x,-z'
loop_
_atom_site_label
_atom_site_type_symbol
_atom_site_fract_x
_atom_site_fract_y
_atom_site_fract_z
Si1 Si 0.1094 0.6126 0.0000
Si2 Si 0.2329 0.3903 0.5000
Sn1 Sn 0.1108 0.3927 0.0000
Sn2 Sn 0.2310 0.6166 0.5000
```


Diffraction record for Si23Sn. The powder XRD pattern is simulated, not measured: it uses DFT lattice parameters and positions (GGA-PBE) and CuKα.
No peak broadening, texture or thermal motion is included.

Main lines, in order of falling intensity (2θ = 10–90°):
| h k l | d (Å) | intensity |
| --- | --- | --- |
| 3 2 1 | 2.736 | 100 |
| 1 1 0 | 7.238 | 83 |
| 5 3 2 | 1.660 | 43 |
| 2 1 0 | 4.577 | 33 |
| 3 3 0 | 2.413 | 26 |
| 6 0 0 | 1.706 | 19 |
| 4 1 0 | 2.482 | 11 |
| 4 3 1 | 2.007 | 11 |
| 6 5 5 | 1.104 | 11 |
| 4 2 1 | 2.234 | 10 |
| 5 5 2 | 1.393 | 10 |
| 6 5 1 | 1.300 | 10 |

Crystal structure
```
data_Si23Sn
_chemical_formula_sum 'Si46 Sn2'
_cell_length_a 10.2355
_cell_length_b 10.2355
_cell_length_c 10.2355
_cell_angle_alpha 90.00
_cell_angle_beta 90.00
_cell_angle_gamma 90.00
_space_group_name_H-M_alt 'P m -3 n'
_space_group_IT_number 223
_space_group_name_Hall '-P 4n 2 3'
loop_
_atom_site_label
_atom_site_type_symbol
_atom_site_fract_x
_atom_site_fract_y
_atom_site_fract_z
Si1 Si 0.0000 0.1171 0.3082
Si2 Si 0.0000 0.2500 0.5000
Si3 Si 0.1831 0.1831 0.1831
Sn1 Sn 0.0000 0.0000 0.0000
```


Diffraction record for SrSiSn. The powder XRD pattern is simulated, not measured: it uses DFT lattice parameters and positions (GGA-PBE) and CuKα.
No peak broadening, texture or thermal motion is included.

Main lines, in order of falling intensity (2θ = 10–90°):
| h k l | d (Å) | intensity |
| --- | --- | --- |
| 1 1 1 | 2.871 | 100 |
| 5 1 0 | 2.856 | 82 |
| 4 0 -1 | 3.291 | 43 |
| 0 2 0 | 2.367 | 28 |
| 4 2 -1 | 1.921 | 19 |
| 3 1 2 | 1.625 | 17 |
| 2 0 -1 | 3.852 | 17 |
| 2 0 -2 | 1.972 | 16 |
| 7 1 -2 | 1.621 | 15 |
| 6 0 1 | 2.150 | 14 |
| 2 2 -2 | 1.515 | 14 |
| 8 0 -1 | 2.143 | 13 |

Crystal structure
```
data_SrSiSn
_chemical_formula_sum 'Sr4 Si4 Sn4'
_cell_length_a 18.3266
_cell_length_b 4.7333
_cell_length_c 3.9449
_cell_angle_alpha 90.00
_cell_angle_beta 102.25
_cell_angle_gamma 90.00
_space_group_name_H-M_alt 'C 1 2/m 1'
_space_group_IT_number 12
loop_
_space_group_symop_operation_xyz
'x,y,z'
'-x,-y,-z'
'-x,y,-z'
'x,-y,z'
'x+1/2,y+1/2,z'
'-x+1/2,-y+1/2,-z'
'-x+1/2,y+1/2,-z'
'x+1/2,-y+1/2,z'
loop_
_atom_site_label
_atom_site_type_symbol
_atom_site_fract_x
_atom_site_fract_y
_atom_site_fract_z
Sr1 Sr 0.1032 0.0000 0.3510
Si1 Si 0.0378 0.5000 0.7872
Sn1 Sn 0.1991 0.5000 0.9396
```


Diffraction record for SrSiSn. The powder XRD pattern is simulated, not measured: it uses DFT lattice parameters and positions (GGA-PBE) and CuKα.
No peak broadening, texture or thermal motion is included.

Main lines, in order of falling intensity (2θ = 10–90°):
| h k l | d (Å) | intensity |
| --- | --- | --- |
| 1 1 1 | 3.059 | 100 |
| 1 0 -2 | 3.075 | 62 |
| 0 2 0 | 2.156 | 59 |
| 2 1 -1 | 2.182 | 26 |
| 1 2 -2 | 1.765 | 21 |
| 0 1 0 | 4.311 | 18 |
| 2 0 0 | 2.682 | 16 |
| 1 1 0 | 3.360 | 16 |
| 3 1 1 | 1.610 | 13 |
| 2 0 2 | 2.172 | 11 |
| 1 0 4 | 1.761 | 11 |
| 1 0 1 | 4.343 | 11 |

Crystal structure
```
data_SrSiSn
_chemical_formula_sum 'Sr2 Si2 Sn2'
_cell_length_a 5.3642
_cell_length_b 4.3112
_cell_length_c 7.4714
_cell_angle_alpha 90.00
_cell_angle_beta 90.41
_cell_angle_gamma 90.00
_space_group_name_H-M_alt 'P 1 2/m 1'
_space_group_IT_number 10
loop_
_space_group_symop_operation_xyz
'x,y,z'
'-x,-y,-z'
'-x,y,-z'
'x,-y,z'
loop_
_atom_site_label
_atom_site_type_symbol
_atom_site_fract_x
_atom_site_fract_y
_atom_site_fract_z
Sr1 Sr 0.0000 0.0000 0.0000
Sr2 Sr 0.0000 0.5000 0.5000
Si1 Si 0.3939 0.0000 0.6448
Sn1 Sn 0.4152 0.5000 0.1847
```


Diffraction record for TlSiSn3. The powder XRD pattern is simulated, not measured: it uses DFT lattice parameters and positions (GGA-PBE) and CuKα.
No peak broadening, texture or thermal motion is included.

Main lines, in order of falling intensity (2θ = 10–90°):
| h k l | d (Å) | intensity |
| --- | --- | --- |
| 1 1 1 | 3.058 | 100 |
| 2 0 0 | 2.648 | 63 |
| 2 2 0 | 1.873 | 46 |
| 3 1 1 | 1.597 | 46 |
| 4 2 0 | 1.184 | 22 |
| 3 3 1 | 1.215 | 20 |
| 2 2 2 | 1.529 | 16 |
| 1 1 0 | 3.745 | 10 |
| 4 0 0 | 1.324 | 8 |
| 2 1 1 | 2.162 | 4 |
| 3 2 1 | 1.416 | 2 |
| 1 0 0 | 5.297 | 2 |

Crystal structure
```
data_TlSiSn3
_chemical_formula_sum 'Tl1 Si1 Sn3'
_cell_length_a 5.2966
_cell_length_b 5.2966
_cell_length_c 5.2966
_cell_angle_alpha 90.00
_cell_angle_beta 90.00
_cell_angle_gamma 90.00
_space_group_name_H-M_alt 'P m -3 m'
_space_group_IT_number 221
_space_group_name_Hall '-P 4 2 3'
loop_
_atom_site_label
_atom_site_type_symbol
_atom_site_fract_x
_atom_site_fract_y
_atom_site_fract_z
Tl1 Tl 0.0000 0.0000 0.0000
Si1 Si 0.5000 0.5000 0.5000
Sn1 Sn 0.0000 0.5000 0.5000
```


Diffraction record for Tm5Si2Sn. The powder XRD pattern is simulated, not measured: it uses DFT lattice parameters and positions (GGA-PBE) and CuKα.
No peak broadening, texture or thermal motion is included.

Main lines, in order of falling intensity (2θ = 10–90°):
| h k l | d (Å) | intensity |
| --- | --- | --- |
| 2 1 3 | 2.719 | 100 |
| 3 1 0 | 2.438 | 60 |
| 2 1 1 | 3.336 | 49 |
| 1 1 4 | 2.833 | 40 |
| 2 0 4 | 2.513 | 38 |
| 3 3 4 | 1.593 | 25 |
| 0 0 8 | 1.660 | 24 |
| 4 2 0 | 1.723 | 24 |
| 4 4 0 | 1.362 | 18 |
| 4 0 4 | 1.666 | 18 |
| 3 1 8 | 1.371 | 14 |
| 2 2 4 | 2.103 | 9 |

Crystal structure
```
data_Tm5Si2Sn
_chemical_formula_sum 'Tm20 Si8 Sn4'
_cell_length_a 7.7083
_cell_length_b 7.7083
_cell_length_c 13.2618
_cell_angle_alpha 90.00
_cell_angle_beta 90.00
_cell_angle_gamma 90.00
_space_group_name_H-M_alt 'I 4/m c m'
_space_group_IT_number 140
_space_group_name_Hall '-I 4 2c'
loop_
_atom_site_label
_atom_site_type_symbol
_atom_site_fract_x
_atom_site_fract_y
_atom_site_fract_z
Tm1 Tm 0.0000 0.0000 0.0000
Tm2 Tm 0.1576 0.3424 0.1407
Si1 Si 0.1426 0.3574 0.5000
Sn1 Sn 0.0000 0.0000 0.2500
```


Diffraction record for VSiSn. The powder XRD pattern is simulated, not measured: it uses DFT lattice parameters and positions (GGA-PBE) and CuKα.
No peak broadening, texture or thermal motion is included.

Main lines, in order of falling intensity (2θ = 10–90°):
| h k l | d (Å) | intensity |
| --- | --- | --- |
| 1 0 1 | 2.174 | 100 |
| 0 4 1 | 2.163 | 79 |
| 1 4 0 | 2.062 | 68 |
| 0 3 1 | 2.486 | 43 |
| 1 1 0 | 2.837 | 43 |
| 0 0 1 | 3.243 | 37 |
| 1 3 0 | 2.336 | 36 |
| 0 1 1 | 3.124 | 36 |
| 0 4 0 | 2.904 | 36 |
| 1 4 1 | 1.740 | 33 |
| 1 4 2 | 1.275 | 29 |
| 1 0 0 | 2.929 | 29 |

Crystal structure
```
data_VSiSn
_chemical_formula_sum 'V2 Si2 Sn2'
_cell_length_a 2.9286
_cell_length_b 11.6156
_cell_length_c 3.2434
_cell_angle_alpha 90.00
_cell_angle_beta 90.09
_cell_angle_gamma 90.00
_space_group_name_H-M_alt 'P 1 2/m 1'
_space_group_IT_number 10
loop_
_space_group_symop_operation_xyz
'x,y,z'
'-x,-y,-z'
'-x,y,-z'
'x,-y,z'
loop_
_atom_site_label
_atom_site_type_symbol
_atom_site_fract_x
_atom_site_fract_y
_atom_site_fract_z
V1 V 0.0000 0.2161 0.0000
Si1 Si 0.5000 0.1020 0.5000
Sn1 Sn 0.5000 0.3738 0.5000
```


Diffraction record for V12SiSn3. The powder XRD pattern is simulated, not measured: it uses DFT lattice parameters and positions (GGA-PBE) and CuKα.
No peak broadening, texture or thermal motion is included.

Main lines, in order of falling intensity (2θ = 10–90°):
| h k l | d (Å) | intensity |
| --- | --- | --- |
| 1 1 4 | 2.002 | 100 |
| 1 2 0 | 2.194 | 40 |
| 0 2 0 | 2.453 | 31 |
| 2 3 2 | 1.311 | 25 |
| 3 1 4 | 1.309 | 24 |
| 1 1 0 | 3.467 | 23 |
| 2 0 2 | 2.190 | 20 |
| 2 0 0 | 2.447 | 16 |
| 3 2 0 | 1.359 | 7 |
| 0 0 3 | 3.268 | 6 |
| 0 2 8 | 1.096 | 5 |
| 2 4 0 | 1.098 | 5 |

Crystal structure
```
data_V12SiSn3
_chemical_formula_sum 'V12 Si1 Sn3'
_cell_length_a 4.8947
_cell_length_b 4.9120
_cell_length_c 9.8027
_cell_angle_alpha 90.00
_cell_angle_beta 90.00
_cell_angle_gamma 90.00
_space_group_name_H-M_alt 'P m m m'
_space_group_IT_number 47
loop_
_space_group_symop_operation_xyz
'x,y,z'
'-x,-y,-z'
'-x,-y,z'
'x,y,-z'
'x,-y,-z'
'-x,y,z'
'-x,y,-z'
'x,-y,z'
loop_
_atom_site_label
_atom_site_type_symbol
_atom_site_fract_x
_atom_site_fract_y
_atom_site_fract_z
V1 V 0.0000 0.0000 0.1166
V2 V 0.0000 0.0000 0.3738
V3 V 0.2473 0.5000 0.5000
V4 V 0.2680 0.5000 0.0000
V5 V 0.5000 0.2396 0.2365
Si1 Si 0.5000 0.0000 0.0000
Sn1 Sn 0.0000 0.5000 0.2483
Sn2 Sn 0.5000 0.0000 0.5000
```


Diffraction record for SiSnW. The powder XRD pattern is simulated, not measured: it uses DFT lattice parameters and positions (GGA-PBE) and CuKα.
No peak broadening, texture or thermal motion is included.

Main lines, in order of falling intensity (2θ = 10–90°):
| h k l | d (Å) | intensity |
| --- | --- | --- |
| 1 1 1 | 2.255 | 100 |
| 0 1 4 | 2.128 | 75 |
| 0 0 4 | 2.700 | 66 |
| 0 1 3 | 2.494 | 63 |
| 1 1 -2 | 2.184 | 62 |
| 0 1 0 | 3.458 | 51 |
| 0 1 1 | 3.293 | 51 |
| 1 0 -2 | 2.817 | 50 |
| 0 2 0 | 1.728 | 44 |
| 0 1 2 | 2.912 | 43 |
| 1 0 2 | 2.645 | 42 |
| 1 0 -3 | 2.465 | 42 |

Crystal structure
```
data_SiSnW
_chemical_formula_sum 'Si2 Sn2 W2'
_cell_length_a 3.1676
_cell_length_b 3.4577
_cell_length_c 10.8303
_cell_angle_alpha 90.00
_cell_angle_beta 94.16
_cell_angle_gamma 90.00
_space_group_name_H-M_alt 'P 1 m 1'
_space_group_IT_number 6
loop_
_space_group_symop_operation_xyz
'x,y,z'
'x,-y,z'
loop_
_atom_site_label
_atom_site_type_symbol
_atom_site_fract_x
_atom_site_fract_y
_atom_site_fract_z
Si1 Si 0.0000 0.0000 0.0000
Si2 Si 0.4439 0.0000 0.7446
Sn1 Sn 0.2279 0.5000 0.1985
Sn2 Sn 0.3693 0.0000 0.4766
W1 W 0.4741 0.5000 0.9090
W2 W 0.9240 0.5000 0.6631
```


Diffraction record for Y5Si2Sn. The powder XRD pattern is simulated, not measured: it uses DFT lattice parameters and positions (GGA-PBE) and CuKα.
No peak broadening, texture or thermal motion is included.

Main lines, in order of falling intensity (2θ = 10–90°):
| h k l | d (Å) | intensity |
| --- | --- | --- |
| 2 1 3 | 2.767 | 100 |
| 3 1 0 | 2.461 | 83 |
| 2 0 4 | 2.569 | 62 |
| 1 1 4 | 2.905 | 56 |
| 2 1 1 | 3.373 | 37 |
| 3 3 4 | 1.617 | 30 |
| 2 2 0 | 2.751 | 24 |
| 3 1 8 | 1.405 | 22 |
| 4 0 4 | 1.691 | 18 |
| 4 1 3 | 1.744 | 16 |
| 4 2 0 | 1.740 | 16 |
| 2 1 7 | 1.705 | 15 |

Crystal structure
```
data_Y5Si2Sn
_chemical_formula_sum 'Y20 Si8 Sn4'
_cell_length_a 7.7816
_cell_length_b 7.7816
_cell_length_c 13.6855
_cell_angle_alpha 90.00
_cell_angle_beta 90.00
_cell_angle_gamma 90.00
_space_group_name_H-M_alt 'I 4/m c m'
_space_group_IT_number 140
_space_group_name_Hall '-I 4 2c'
loop_
_atom_site_label
_atom_site_type_symbol
_atom_site_fract_x
_atom_site_fract_y
_atom_site_fract_z
Y1 Y 0.0000 0.0000 0.0000
Y2 Y 0.1614 0.3386 0.1400
Si1 Si 0.1383 0.3617 0.5000
Sn1 Sn 0.0000 0.0000 0.2500
```


Diffraction record for Zr4SiSn. The powder XRD pattern is simulated, not measured: it uses DFT lattice parameters and positions (GGA-PBE) and CuKα.
No peak broadening, texture or thermal motion is included.

Main lines, in order of falling intensity (2θ = 10–90°):
| h k l | d (Å) | intensity |
| --- | --- | --- |
| 2 1 1 | 2.660 | 100 |
| 3 1 0 | 2.142 | 41 |
| 1 1 2 | 2.405 | 33 |
| 2 0 2 | 2.149 | 27 |
| 2 1 3 | 1.581 | 20 |
| 3 3 2 | 1.384 | 19 |
| 4 0 2 | 1.446 | 16 |
| 2 1 0 | 3.029 | 16 |
| 3 1 4 | 1.166 | 12 |
| 1 0 0 | 6.773 | 11 |
| 5 2 1 | 1.227 | 10 |
| 4 1 1 | 1.575 | 9 |

Crystal structure
```
data_Zr4SiSn
_chemical_formula_sum 'Zr8 Si2 Sn2'
_cell_length_a 6.7725
_cell_length_b 6.7725
_cell_length_c 5.5613
_cell_angle_alpha 90.00
_cell_angle_beta 90.00
_cell_angle_gamma 90.00
_space_group_name_H-M_alt 'P 4/m c c'
_space_group_IT_number 124
_space_group_name_Hall '-P 4 2c'
loop_
_atom_site_label
_atom_site_type_symbol
_atom_site_fract_x
_atom_site_fract_y
_atom_site_fract_z
Zr1 Zr 0.1412 0.3325 0.0000
Si1 Si 0.0000 0.0000 0.2500
Sn1 Sn 0.5000 0.5000 0.2500
```